Structure and calculated XRD peak list of KTl2Br6 (a PBE-relaxed structure; CuKα).

Top 10 peaks for 2θ from 10° to 90°, in order of rising 2θ:
| Position (°2θ) | intensity |
| --- | --- |
| 12.41 | 595 |
| 13.52 | 429 |
| 18.39 | 555 |
| 26.68 | 1000 |
| 34.57 | 851 |
| 38.48 | 242 |
| 41.34 | 407 |
| 45.05 | 299 |
| 54.96 | 194 |
| 67.87 | 170 |

Atomic structure:
```
KTl2Br6
1.0
7.5651 0.0000 0.0000
-3.7826 6.5516 0.0000
0.0000 0.0000 7.1296
K Tl Br
1 2 6
Direct
0.0000 0.0000 0.0000 K
0.3333 0.6667 0.5000 Tl
0.6667 0.3333 0.5000 Tl
0.0211 0.3796 0.7324 Br
0.0211 0.6415 0.2676 Br
0.3585 0.3796 0.2676 Br
0.3585 0.9789 0.7324 Br
0.6204 0.6415 0.7324 Br
0.6204 0.9789 0.2676 Br
```

=====

Structure and calculated XRD peak list of KTlWBr6 (a PBE-relaxed structure; CuKα).

Top 10 peaks for 2θ from 10° to 90°, in order of rising 2θ:
| Position (°2θ) | intensity |
| --- | --- |
| 14.76 | 785 |
| 19.22 | 1000 |
| 22.52 | 181 |
| 26.69 | 586 |
| 29.77 | 320 |
| 36.63 | 744 |
| 37.65 | 426 |
| 39.53 | 359 |
| 41.07 | 225 |
| 54.99 | 213 |

Atomic structure:
```
KTlWBr6
1.0
7.8963 0.0000 0.0000
-3.9481 6.8384 0.0000
0.0000 0.0000 12.5260
K Tl W Br
2 2 2 12
Direct
0.3333 0.6667 0.2500 K
0.6667 0.3333 0.7500 K
0.0000 0.0000 0.0000 Tl
0.0000 0.0000 0.5000 Tl
0.3333 0.6667 0.7500 W
0.6667 0.3333 0.2500 W
0.0698 0.4034 0.6310 Br
0.0698 0.6664 0.8690 Br
0.3336 0.4034 0.8690 Br
0.3336 0.9302 0.6310 Br
0.4034 0.0698 0.1310 Br
0.4034 0.3336 0.3690 Br
0.5966 0.6664 0.6310 Br
0.5966 0.9302 0.8690 Br
0.6664 0.0698 0.3690 Br
0.6664 0.5966 0.1310 Br
0.9302 0.3336 0.1310 Br
0.9302 0.5966 0.3690 Br
```

=====

Structure and calculated XRD peak list of KTmBr3 (a PBE-relaxed structure; CuKα).

Top 10 peaks for 2θ from 10° to 90°, in order of rising 2θ:
| Position (°2θ) | intensity |
| --- | --- |
| 16.01 | 531 |
| 16.17 | 1000 |
| 22.83 | 321 |
| 32.35 | 426 |
| 32.68 | 664 |
| 35.49 | 279 |
| 36.37 | 313 |
| 36.59 | 257 |
| 46.65 | 449 |
| 48.77 | 266 |

Atomic structure:
```
KTmBr3
1.0
8.0660 0.0000 0.0000
0.0000 11.0708 0.0000
0.0000 0.0000 7.4684
K Tm Br
4 4 12
Direct
0.0683 0.2500 0.0233 K
0.4317 0.7500 0.5233 K
0.5683 0.2500 0.4767 K
0.9317 0.7500 0.9767 K
0.0000 0.0000 0.5000 Tm
0.0000 0.5000 0.5000 Tm
0.5000 0.0000 0.0000 Tm
0.5000 0.5000 0.0000 Tm
0.0112 0.7500 0.4420 Br
0.2074 0.5293 0.7992 Br
0.2074 0.9707 0.7992 Br
0.2926 0.0293 0.2992 Br
0.2926 0.4707 0.2992 Br
0.4888 0.2500 0.9420 Br
0.5112 0.7500 0.0580 Br
0.7074 0.5293 0.7008 Br
0.7074 0.9707 0.7008 Br
0.7926 0.0293 0.2008 Br
0.7926 0.4707 0.2008 Br
0.9888 0.2500 0.5580 Br
```